Record 1
Diffraction record for LiZn4Sn4O8. The X-ray diffraction stick pattern is calculated, not measured: it uses a crystal structure in the Materials Project, relaxed with GGA-PBE and Cu Kα (weighted mean of Kα1 and Kα2).
Intensities are scaled so that the largest is 100.

Structure:
```
data_LiZn4Sn4O8
_cell_length_a 3.467
_cell_length_b 9.288
_cell_length_c 9.397
_cell_angle_alpha 101.86
_cell_angle_beta 100.49
_cell_angle_gamma 100.69
_space_group_name_H-M_alt 'P 1'
_space_group_IT_number 1
loop_
_space_group_symop_operation_xyz
'x,y,z'
loop_
_atom_site_label
_atom_site_fract_x
_atom_site_fract_y
_atom_site_fract_z
Li1 0.000 0.000 0.000
Zn1 0.407 0.967 0.696
Zn2 0.498 0.319 0.514
Zn3 0.666 0.680 0.485
Zn4 0.748 0.032 0.303
Sn1 0.045 0.739 0.176
Sn2 0.118 0.260 0.823
Sn3 0.287 0.628 0.779
Sn4 0.882 0.371 0.220
O1 0.167 0.978 0.190
O2 0.257 0.751 0.597
O3 0.493 0.475 0.341
O4 0.508 0.189 0.671
O5 0.653 0.810 0.327
O6 0.675 0.524 0.659
O7 0.908 0.248 0.402
O8 0.991 0.021 0.809
```

Peak list (6 most intense, 2θ from 5° to 70°, low angle first)
| two_theta | Rel. int. |
| --- | --- |
| 19.84 | 52 |
| 20.08 | 23 |
| 30.32 | 22 |
| 30.87 | 100 |
| 31.75 | 38 |
| 36.81 | 39 |

---

Record 2
Diffraction record for LiZn4Sn4O8. The X-ray diffraction stick pattern is calculated, not measured: it uses a crystal structure in the Materials Project, relaxed with GGA-PBE and Cu Kα (weighted mean of Kα1 and Kα2).
Intensities are scaled so that the largest is 100.

Structure:
```
data_LiZn4Sn4O8
_cell_length_a 3.385
_cell_length_b 8.183
_cell_length_c 9.969
_cell_angle_alpha 90.50
_cell_angle_beta 98.09
_cell_angle_gamma 95.01
_space_group_name_H-M_alt 'P 1'
_space_group_IT_number 1
loop_
_space_group_symop_operation_xyz
'x,y,z'
loop_
_atom_site_label
_atom_site_fract_x
_atom_site_fract_y
_atom_site_fract_z
Li1 0.000 0.000 0.000
Zn1 0.004 0.451 0.706
Zn2 0.557 0.889 0.530
Zn3 0.598 0.719 0.896
Zn4 0.914 0.632 0.338
Sn1 0.166 0.409 0.062
Sn2 0.222 0.063 0.757
Sn3 0.350 0.300 0.455
Sn4 0.557 0.985 0.226
O1 0.068 0.573 0.883
O2 0.088 0.031 0.544
O3 0.455 0.766 0.356
O4 0.470 0.317 0.675
O5 0.492 0.896 0.022
O6 0.621 0.872 0.734
O7 0.740 0.533 0.150
O8 0.934 0.479 0.496
```

Peak list (6 most intense, 2θ from 5° to 70°, low angle first)
| two_theta | Rel. int. |
| --- | --- |
| 21.25 | 45 |
| 28.10 | 100 |
| 29.49 | 57 |
| 29.82 | 67 |
| 33.47 | 83 |
| 35.46 | 73 |